CoSb2O4: calculated powder diffraction line list (CuKα), based on the GGA+U geometry in OQMD.
Kinematic intensities with the Lorentz-polarization factor, no thermal factor.

Top 10 peaks for 2θ from 10° to 90°, low angle first:
two_theta	intensity
28.05	100
29.86	11
30.10	12
33.53	12
33.75	23
36.88	20
47.13	29
51.89	18
55.67	24
65.49	10

Cell and atoms:
a b c (Å): 8.3979 8.3979 5.9854
angles (deg): 90.00 90.00 90.00
Positions (direct):
Co 0.0000 0.5000 0.2500
Co 0.0000 0.5000 0.7500
Co 0.5000 0.0000 0.2500
Co 0.5000 0.0000 0.7500
Sb 0.1634 0.1709 0.0000
Sb 0.1709 0.8366 0.5000
Sb 0.3291 0.3366 0.5000
Sb 0.3366 0.6709 0.0000
Sb 0.6634 0.3291 0.0000
Sb 0.6709 0.6634 0.5000
Sb 0.8291 0.1634 0.5000
Sb 0.8366 0.8291 0.0000
O 0.0949 0.3536 0.5000
O 0.1464 0.4051 0.0000
O 0.1757 0.6757 0.2500
O 0.1757 0.6757 0.7500
O 0.3243 0.1757 0.2500
O 0.3243 0.1757 0.7500
O 0.3536 0.9051 0.0000
O 0.4051 0.8536 0.5000
O 0.5949 0.1464 0.5000
O 0.6464 0.0949 0.0000
O 0.6757 0.8243 0.2500
O 0.6757 0.8243 0.7500
O 0.8243 0.3243 0.2500
O 0.8243 0.3243 0.7500
O 0.8536 0.5949 0.0000
O 0.9051 0.6464 0.5000